# NaTbCdTe3
Computed powder X-ray diffraction pattern, copper Kα. Input: DFT lattice parameters and positions (GGA-PBE).

Structure:
```
data_NaTbCdTe3
_chemical_formula_sum 'Na2 Tb2 Cd2 Te6'
_cell_length_a 7.7641
_cell_length_b 7.7641
_cell_length_c 11.7060
_cell_angle_alpha 90.00
_cell_angle_beta 90.00
_cell_angle_gamma 147.17
_symmetry_space_group_name_H-M 'P 1'
_symmetry_Int_Tables_number 1
loop_
_symmetry_equiv_pos_as_xyz
'x,y,z'
loop_
_atom_site_label
_atom_site_type_symbol
_atom_site_fract_x
_atom_site_fract_y
_atom_site_fract_z
Na1 Na 0.2321 0.7679 0.7500
Na2 Na 0.7679 0.2321 0.2500
Tb1 Tb 0.0000 0.0000 0.0000
Tb2 Tb 0.0000 0.0000 0.5000
Cd1 Cd 0.4699 0.5301 0.2500
Cd2 Cd 0.5301 0.4699 0.7500
Te1 Te 0.0922 0.9078 0.2500
Te2 Te 0.3583 0.6417 0.0568
Te3 Te 0.3583 0.6417 0.4432
Te4 Te 0.6417 0.3583 0.5568
Te5 Te 0.6417 0.3583 0.9432
Te6 Te 0.9078 0.0922 0.7500
```

Main lines, by angle (5° ≤ 2θ ≤ 70°):
| d/Å | Rel. int. |
| --- | --- |
| 7.448 | 64 |
| 3.961 | 19 |
| 3.456 | 30 |
| 3.288 | 21 |
| 3.166 | 37 |
| 2.927 | 26 |
| 2.866 | 100 |
| 2.272 | 35 |
| 2.194 | 24 |
| 2.084 | 18 |

# KNaP2Ir2
Computed powder X-ray diffraction pattern, copper Kα. Input: DFT lattice parameters and positions (GGA-PBE).

Structure:
```
data_KNaP2Ir2
_chemical_formula_sum 'K1 Na1 P2 Ir2'
_cell_length_a 3.9783
_cell_length_b 3.9783
_cell_length_c 7.9869
_cell_angle_alpha 90.00
_cell_angle_beta 90.00
_cell_angle_gamma 90.00
_symmetry_space_group_name_H-M 'P 1'
_symmetry_Int_Tables_number 1
loop_
_symmetry_equiv_pos_as_xyz
'x,y,z'
loop_
_atom_site_label
_atom_site_type_symbol
_atom_site_fract_x
_atom_site_fract_y
_atom_site_fract_z
K1 K 0.0000 0.0000 0.0000
Na1 Na 0.5000 0.5000 0.6756
P1 P 0.0000 0.0000 0.5364
P2 P 0.5000 0.5000 0.2064
Ir1 Ir 0.0000 0.5000 0.3696
Ir2 Ir 0.5000 0.0000 0.3696
```

Main lines, by angle (5° ≤ 2θ ≤ 70°):
| d/Å | Rel. int. |
| --- | --- |
| 7.987 | 100 |
| 3.993 | 16 |
| 2.815 | 11 |
| 2.662 | 7 |
| 2.653 | 31 |
| 2.300 | 26 |
| 1.989 | 12 |
| 1.932 | 25 |
| 1.780 | 7 |
| 1.628 | 10 |

# Dy2Ho3Al3
Computed powder X-ray diffraction pattern, copper Kα. Input: DFT lattice parameters and positions (GGA-PBE).

Structure:
```
data_Dy2Ho3Al3
_chemical_formula_sum 'Dy2 Ho3 Al3'
_cell_length_a 6.4516
_cell_length_b 5.1825
_cell_length_c 6.4553
_cell_angle_alpha 90.00
_cell_angle_beta 110.73
_cell_angle_gamma 90.00
_symmetry_space_group_name_H-M 'P 1'
_symmetry_Int_Tables_number 1
loop_
_symmetry_equiv_pos_as_xyz
'x,y,z'
loop_
_atom_site_label
_atom_site_type_symbol
_atom_site_fract_x
_atom_site_fract_y
_atom_site_fract_z
Dy1 Dy 0.0000 0.0000 0.0000
Dy2 Dy 0.2938 0.5000 0.7654
Ho1 Ho 0.0016 0.0000 0.5031
Ho2 Ho 0.5078 0.0000 0.5093
Ho3 Ho 0.7452 0.5000 0.2122
Al1 Al 0.2482 0.5000 0.2644
Al2 Al 0.5024 0.0000 0.0109
Al3 Al 0.7926 0.5000 0.7094
```

Main lines, by angle (5° ≤ 2θ ≤ 70°):
| d/Å | Rel. int. |
| --- | --- |
| 3.932 | 12 |
| 3.709 | 27 |
| 3.668 | 12 |
| 2.655 | 26 |
| 2.608 | 100 |
| 2.591 | 26 |
| 1.854 | 18 |
| 1.524 | 17 |
| 1.499 | 18 |
| 1.497 | 8 |

# Zr7N8
Computed powder X-ray diffraction pattern, copper Kα. Input: DFT lattice parameters and positions (GGA-PBE).

Structure:
```
data_Zr7N8
_chemical_formula_sum 'Zr7 N8'
_cell_length_a 5.5871
_cell_length_b 5.6050
_cell_length_c 6.4809
_cell_angle_alpha 90.00
_cell_angle_beta 73.10
_cell_angle_gamma 80.29
_symmetry_space_group_name_H-M 'P 1'
_symmetry_Int_Tables_number 1
loop_
_symmetry_equiv_pos_as_xyz
'x,y,z'
loop_
_atom_site_label
_atom_site_type_symbol
_atom_site_fract_x
_atom_site_fract_y
_atom_site_fract_z
Zr1 Zr 0.0000 0.0000 0.0000
Zr2 Zr 0.0042 0.5010 0.7421
Zr3 Zr 0.4800 0.7508 0.1331
Zr4 Zr 0.4930 0.7640 0.6231
Zr5 Zr 0.5070 0.2360 0.3769
Zr6 Zr 0.5200 0.2492 0.8669
Zr7 Zr 0.9958 0.4990 0.2579
N1 N 0.2490 0.6231 0.9350
N2 N 0.2580 0.6091 0.4370
N3 N 0.2590 0.1349 0.6950
N4 N 0.2620 0.1300 0.1741
N5 N 0.7380 0.8700 0.8259
N6 N 0.7410 0.8651 0.3050
N7 N 0.7420 0.3909 0.5630
N8 N 0.7510 0.3769 0.0650
```

Main lines, by angle (5° ≤ 2θ ≤ 70°):
| d/Å | Rel. int. |
| --- | --- |
| 6.193 | 5 |
| 5.262 | 5 |
| 2.643 | 79 |
| 2.631 | 26 |
| 2.286 | 100 |
| 1.619 | 32 |
| 1.614 | 31 |
| 1.381 | 15 |
| 1.379 | 18 |
| 1.376 | 7 |

# NbMo7
Computed powder X-ray diffraction pattern, copper Kα. Input: DFT lattice parameters and positions (GGA-PBE).

Structure:
```
data_NbMo7
_chemical_formula_sum 'Nb1 Mo7'
_cell_length_a 4.4951
_cell_length_b 4.4951
_cell_length_c 6.3640
_cell_angle_alpha 90.00
_cell_angle_beta 90.00
_cell_angle_gamma 90.00
_symmetry_space_group_name_H-M 'P 1'
_symmetry_Int_Tables_number 1
loop_
_symmetry_equiv_pos_as_xyz
'x,y,z'
loop_
_atom_site_label
_atom_site_type_symbol
_atom_site_fract_x
_atom_site_fract_y
_atom_site_fract_z
Nb1 Nb 0.0000 0.0000 0.0000
Mo1 Mo 0.0000 0.0000 0.5000
Mo2 Mo 0.0000 0.5000 0.2523
Mo3 Mo 0.0000 0.5000 0.7477
Mo4 Mo 0.5000 0.0000 0.2523
Mo5 Mo 0.5000 0.0000 0.7477
Mo6 Mo 0.5000 0.5000 0.0000
Mo7 Mo 0.5000 0.5000 0.5000
```

Main lines, by angle (5° ≤ 2θ ≤ 70°):
| d/Å | Rel. int. |
| --- | --- |
| 2.248 | 100 |
| 1.590 | 16 |

# Ho3Sb4Au3
Computed powder X-ray diffraction pattern, copper Kα. Input: DFT lattice parameters and positions (GGA-PBE).

Structure:
```
data_Ho3Sb4Au3
_chemical_formula_sum 'Ho6 Sb8 Au6'
_cell_length_a 8.5518
_cell_length_b 8.5518
_cell_length_c 8.5518
_cell_angle_alpha 109.47
_cell_angle_beta 109.47
_cell_angle_gamma 109.47
_symmetry_space_group_name_H-M 'P 1'
_symmetry_Int_Tables_number 1
loop_
_symmetry_equiv_pos_as_xyz
'x,y,z'
loop_
_atom_site_label
_atom_site_type_symbol
_atom_site_fract_x
_atom_site_fract_y
_atom_site_fract_z
Ho1 Ho 0.1250 0.7500 0.8750
Ho2 Ho 0.2500 0.6250 0.3750
Ho3 Ho 0.3750 0.2500 0.6250
Ho4 Ho 0.6250 0.3750 0.2500
Ho5 Ho 0.7500 0.8750 0.1250
Ho6 Ho 0.8750 0.1250 0.7500
Sb1 Sb 0.0000 0.3206 0.5000
Sb2 Sb 0.0000 0.8206 0.5000
Sb3 Sb 0.1794 0.1794 0.1794
Sb4 Sb 0.3206 0.5000 0.0000
Sb5 Sb 0.5000 0.0000 0.3206
Sb6 Sb 0.5000 0.0000 0.8206
Sb7 Sb 0.6794 0.6794 0.6794
Sb8 Sb 0.8206 0.5000 0.0000
Au1 Au 0.1250 0.8750 0.2500
Au2 Au 0.2500 0.1250 0.8750
Au3 Au 0.3750 0.6250 0.7500
Au4 Au 0.6250 0.7500 0.3750
Au5 Au 0.7500 0.3750 0.6250
Au6 Au 0.8750 0.2500 0.1250
```

Main lines, by angle (5° ≤ 2θ ≤ 70°):
| d/Å | Rel. int. |
| --- | --- |
| 4.031 | 21 |
| 3.491 | 12 |
| 2.639 | 100 |
| 2.208 | 49 |
| 2.016 | 13 |
| 1.803 | 17 |
| 1.561 | 10 |
| 1.456 | 11 |
| 1.425 | 12 |
| 1.369 | 11 |

# DyZrCS
Computed powder X-ray diffraction pattern, copper Kα. Input: DFT lattice parameters and positions (GGA-PBE).

Structure:
```
data_DyZrCS
_chemical_formula_sum 'Dy2 Zr2 C2 S2'
_cell_length_a 3.5569
_cell_length_b 3.5569
_cell_length_c 12.6108
_cell_angle_alpha 90.00
_cell_angle_beta 90.00
_cell_angle_gamma 120.00
_symmetry_space_group_name_H-M 'P 1'
_symmetry_Int_Tables_number 1
loop_
_symmetry_equiv_pos_as_xyz
'x,y,z'
loop_
_atom_site_label
_atom_site_type_symbol
_atom_site_fract_x
_atom_site_fract_y
_atom_site_fract_z
Dy1 Dy 0.3333 0.6667 0.3925
Dy2 Dy 0.6667 0.3333 0.6075
Zr1 Zr 0.3333 0.6667 0.0960
Zr2 Zr 0.6667 0.3333 0.9040
C1 C 0.0000 0.0000 0.0000
C2 C 0.0000 0.0000 0.5000
S1 S 0.3333 0.6667 0.7647
S2 S 0.6667 0.3333 0.2353
```

Main lines, by angle (5° ≤ 2θ ≤ 70°):
| d/Å | Rel. int. |
| --- | --- |
| 12.611 | 23 |
| 3.153 | 17 |
| 3.080 | 30 |
| 2.992 | 35 |
| 2.485 | 100 |
| 2.203 | 14 |
| 1.778 | 29 |
| 1.555 | 16 |
| 1.549 | 14 |
| 1.446 | 18 |

# AuI
Computed powder X-ray diffraction pattern, copper Kα. Input: DFT lattice parameters and positions (GGA-PBE).

Structure:
```
data_AuI
_chemical_formula_sum 'Au8 I8'
_cell_length_a 6.9726
_cell_length_b 6.0665
_cell_length_c 14.2735
_cell_angle_alpha 90.00
_cell_angle_beta 90.00
_cell_angle_gamma 90.00
_symmetry_space_group_name_H-M 'P 1'
_symmetry_Int_Tables_number 1
loop_
_symmetry_equiv_pos_as_xyz
'x,y,z'
loop_
_atom_site_label
_atom_site_type_symbol
_atom_site_fract_x
_atom_site_fract_y
_atom_site_fract_z
Au1 Au 0.2500 0.2488 0.2500
Au2 Au 0.2500 0.2512 0.7500
Au3 Au 0.2500 0.7488 0.2500
Au4 Au 0.2500 0.7512 0.7500
Au5 Au 0.7500 0.2488 0.2500
Au6 Au 0.7500 0.2512 0.7500
Au7 Au 0.7500 0.7488 0.2500
Au8 Au 0.7500 0.7512 0.7500
I1 I 0.0000 0.2419 0.1119
I2 I 0.0000 0.2581 0.6119
I3 I 0.0000 0.7419 0.3881
I4 I 0.0000 0.7581 0.8881
I5 I 0.5000 0.2419 0.3881
I6 I 0.5000 0.2581 0.8881
I7 I 0.5000 0.7419 0.1119
I8 I 0.5000 0.7581 0.6119
```

Main lines, by angle (5° ≤ 2θ ≤ 70°):
| d/Å | Rel. int. |
| --- | --- |
| 7.137 | 100 |
| 3.853 | 51 |
| 3.133 | 46 |
| 3.033 | 47 |
| 2.792 | 23 |
| 2.494 | 53 |
| 2.379 | 15 |
| 2.179 | 34 |
| 1.926 | 49 |
| 1.873 | 22 |

# Pr2Nd2CBr4Cl
Computed powder X-ray diffraction pattern, copper Kα. Input: DFT lattice parameters and positions (GGA-PBE).

Structure:
```
data_Pr2Nd2CBr4Cl
_chemical_formula_sum 'Pr2 Nd2 C1 Br4 Cl1'
_cell_length_a 9.4487
_cell_length_b 9.4487
_cell_length_c 8.2129
_cell_angle_alpha 103.64
_cell_angle_beta 103.64
_cell_angle_gamma 24.06
_symmetry_space_group_name_H-M 'P 1'
_symmetry_Int_Tables_number 1
loop_
_symmetry_equiv_pos_as_xyz
'x,y,z'
loop_
_atom_site_label
_atom_site_type_symbol
_atom_site_fract_x
_atom_site_fract_y
_atom_site_fract_z
Pr1 Pr 0.1421 0.1421 0.0814
Pr2 Pr 0.8579 0.8579 0.9186
Nd1 Nd 0.4990 0.4990 0.2131
Nd2 Nd 0.5010 0.5010 0.7869
C1 C 0.0000 0.0000 0.0000
Br1 Br 0.3306 0.3306 0.1772
Br2 Br 0.3365 0.3365 0.6392
Br3 Br 0.6635 0.6635 0.3608
Br4 Br 0.6694 0.6694 0.8228
Cl1 Cl 0.0000 0.0000 0.5000
```

Main lines, by angle (5° ≤ 2θ ≤ 70°):
| d/Å | Rel. int. |
| --- | --- |
| 7.970 | 45 |
| 3.194 | 14 |
| 2.989 | 49 |
| 2.908 | 21 |
| 2.842 | 100 |
| 2.652 | 23 |
| 2.074 | 28 |
| 2.046 | 32 |
| 1.970 | 19 |
| 1.645 | 16 |

# PAuCl4
Computed powder X-ray diffraction pattern, copper Kα. Input: DFT lattice parameters and positions (GGA-PBE).

Structure:
```
data_PAuCl4
_chemical_formula_sum 'P4 Au4 Cl16'
_cell_length_a 7.3555
_cell_length_b 14.6975
_cell_length_c 6.1903
_cell_angle_alpha 90.00
_cell_angle_beta 96.32
_cell_angle_gamma 90.00
_symmetry_space_group_name_H-M 'P 1'
_symmetry_Int_Tables_number 1
loop_
_symmetry_equiv_pos_as_xyz
'x,y,z'
loop_
_atom_site_label
_atom_site_type_symbol
_atom_site_fract_x
_atom_site_fract_y
_atom_site_fract_z
P1 P 0.2458 0.1282 0.4707
P2 P 0.2458 0.3718 0.9707
P3 P 0.7542 0.6282 0.0293
P4 P 0.7542 0.8718 0.5293
Au1 Au 0.4622 0.2355 0.4791
Au2 Au 0.4622 0.2645 0.9791
Au3 Au 0.5378 0.7355 0.0209
Au4 Au 0.5378 0.7645 0.5209
Cl1 Cl 0.0106 0.1732 0.5724
Cl2 Cl 0.0106 0.3268 0.0724
Cl3 Cl 0.1663 0.0754 0.1743
Cl4 Cl 0.1663 0.4246 0.6743
Cl5 Cl 0.3030 0.0164 0.6559
Cl6 Cl 0.3030 0.4836 0.1559
Cl7 Cl 0.3231 0.6498 0.5149
Cl8 Cl 0.3231 0.8502 0.0149
Cl9 Cl 0.6769 0.1498 0.9851
Cl10 Cl 0.6769 0.3502 0.4851
Cl11 Cl 0.6970 0.5164 0.8441
Cl12 Cl 0.6970 0.9836 0.3441
Cl13 Cl 0.8337 0.5754 0.3257
Cl14 Cl 0.8337 0.9246 0.8257
Cl15 Cl 0.9894 0.6732 0.9276
Cl16 Cl 0.9894 0.8268 0.4276
```

Main lines, by angle (5° ≤ 2θ ≤ 70°):
| d/Å | Rel. int. |
| --- | --- |
| 7.331 | 100 |
| 6.546 | 12 |
| 5.183 | 51 |
| 3.277 | 53 |
| 3.076 | 15 |
| 2.838 | 26 |
| 2.741 | 25 |
| 2.730 | 12 |
| 2.591 | 10 |
| 2.360 | 11 |

# Tb3Zn3PtAu2
Computed powder X-ray diffraction pattern, copper Kα. Input: DFT lattice parameters and positions (GGA-PBE).

Structure:
```
data_Tb3Zn3PtAu2
_chemical_formula_sum 'Tb3 Zn3 Pt1 Au2'
_cell_length_a 7.4282
_cell_length_b 7.4282
_cell_length_c 3.9215
_cell_angle_alpha 90.00
_cell_angle_beta 90.00
_cell_angle_gamma 120.00
_symmetry_space_group_name_H-M 'P 1'
_symmetry_Int_Tables_number 1
loop_
_symmetry_equiv_pos_as_xyz
'x,y,z'
loop_
_atom_site_label
_atom_site_type_symbol
_atom_site_fract_x
_atom_site_fract_y
_atom_site_fract_z
Tb1 Tb 0.0000 0.6042 0.0000
Tb2 Tb 0.3958 0.3958 0.0000
Tb3 Tb 0.6042 0.0000 0.0000
Zn1 Zn 0.0000 0.2470 0.5000
Zn2 Zn 0.2470 0.0000 0.5000
Zn3 Zn 0.7530 0.7530 0.5000
Pt1 Pt 0.0000 0.0000 0.0000
Au1 Au 0.3333 0.6667 0.5000
Au2 Au 0.6667 0.3333 0.5000
```

Main lines, by angle (5° ≤ 2θ ≤ 70°):
| d/Å | Rel. int. |
| --- | --- |
| 3.714 | 39 |
| 3.348 | 22 |
| 2.697 | 90 |
| 2.487 | 100 |
| 2.431 | 25 |
| 2.144 | 58 |
| 2.066 | 47 |
| 1.961 | 28 |
| 1.447 | 33 |
| 1.381 | 34 |

# TbYGa6
Computed powder X-ray diffraction pattern, copper Kα. Input: DFT lattice parameters and positions (GGA-PBE).

Structure:
```
data_TbYGa6
_chemical_formula_sum 'Tb1 Y1 Ga6'
_cell_length_a 6.2802
_cell_length_b 6.2802
_cell_length_c 4.5713
_cell_angle_alpha 90.00
_cell_angle_beta 90.00
_cell_angle_gamma 120.00
_symmetry_space_group_name_H-M 'P 1'
_symmetry_Int_Tables_number 1
loop_
_symmetry_equiv_pos_as_xyz
'x,y,z'
loop_
_atom_site_label
_atom_site_type_symbol
_atom_site_fract_x
_atom_site_fract_y
_atom_site_fract_z
Tb1 Tb 0.0000 0.0000 0.0000
Y1 Y 0.3333 0.6667 0.5000
Ga1 Ga 0.3703 0.1852 0.5000
Ga2 Ga 0.5184 0.0369 0.0000
Ga3 Ga 0.5184 0.4816 0.0000
Ga4 Ga 0.8148 0.1852 0.5000
Ga5 Ga 0.8148 0.6297 0.5000
Ga6 Ga 0.9631 0.4816 0.0000
```

Main lines, by angle (5° ≤ 2θ ≤ 70°):
| d/Å | Rel. int. |
| --- | --- |
| 3.499 | 14 |
| 3.140 | 5 |
| 2.719 | 26 |
| 2.337 | 100 |
| 2.286 | 22 |
| 2.056 | 6 |
| 1.750 | 14 |
| 1.685 | 5 |
| 1.570 | 16 |
| 1.528 | 5 |